Record 1
This entry pairs a crystal structure of Cs3AgF6 with its calculated powder diffractogram. Radiation: copper Kα. Structure: DFT lattice parameters and positions (PBE).
Lines closer than 0.1° are merged.

Atomic structure:
```
Cs3AgF6
1.0
6.747 0.000 0.000
0.000 6.737 0.000
-6.581 0.000 9.443
Cs Ag F
6 2 12
direct
0.000 0.000 0.000
0.000 0.500 0.500
0.259 0.034 0.752
0.259 0.466 0.252
0.741 0.534 0.748
0.741 0.966 0.248
0.500 0.000 0.500
0.500 0.500 0.000
0.212 0.020 0.287
0.212 0.480 0.787
0.289 0.685 0.037
0.289 0.815 0.537
0.365 0.245 0.046
0.365 0.255 0.546
0.635 0.745 0.454
0.635 0.755 0.954
0.711 0.185 0.463
0.711 0.315 0.963
0.788 0.520 0.213
0.788 0.980 0.713
```

Largest 10 diffraction maxima, by angle, 10 to 90 degrees two-theta:
2θ (°)	Rel. int.
26.42	100
26.74	50
37.74	28
38.12	14
46.42	11
46.67	8
46.88	10
47.02	23
54.37	12
61.85	9

---

Record 2
This entry pairs a crystal structure of Cs2AgF6 with its calculated powder diffractogram. Radiation: copper Kα. Structure: DFT lattice parameters and positions (PBE).
Lines closer than 0.1° are merged.

Atomic structure:
```
Cs2AgF6
1.0
0.000 4.293 4.293
4.293 0.000 4.293
4.293 4.293 0.000
Cs Ag F
2 1 6
direct
0.250 0.250 0.250
0.750 0.750 0.750
0.000 0.000 0.000
0.235 0.235 0.765
0.235 0.765 0.235
0.235 0.765 0.765
0.765 0.235 0.235
0.765 0.235 0.765
0.765 0.765 0.235
```

Largest 10 diffraction maxima, by angle, 10 to 90 degrees two-theta:
2θ (°)	Rel. int.
17.89	32
20.69	12
29.43	100
34.65	14
36.25	24
42.10	39
52.20	40
61.06	24
69.21	18
84.44	21

---

Record 3
This entry pairs a crystal structure of CsK2AgF5 with its calculated powder diffractogram. Radiation: copper Kα. Structure: DFT lattice parameters and positions (PBE).
Lines closer than 0.1° are merged.

Atomic structure:
```
CsK2AgF5
1.0
7.082 0.000 0.000
0.000 7.082 0.000
0.000 0.000 6.220
Cs K Ag F
2 4 2 10
direct
0.000 0.000 0.000
0.500 0.500 0.000
0.165 0.335 0.500
0.335 0.835 0.500
0.665 0.165 0.500
0.835 0.665 0.500
0.000 0.500 0.000
0.500 0.000 0.000
0.000 0.000 0.500
0.146 0.646 0.234
0.146 0.646 0.766
0.354 0.146 0.234
0.354 0.146 0.766
0.500 0.500 0.500
0.646 0.854 0.234
0.646 0.854 0.766
0.854 0.354 0.234
0.854 0.354 0.766
```

Largest 10 diffraction maxima, by angle, 10 to 90 degrees two-theta:
2θ (°)	Rel. int.
14.24	41
25.15	43
28.71	27
29.02	100
35.87	34
38.53	41
38.77	28
46.57	29
51.05	21
66.23	19

---

Record 4
This entry pairs a crystal structure of Cs3Ag2P4HO14 with its calculated powder diffractogram. Radiation: copper Kα. Structure: DFT lattice parameters and positions (PBE).
Lines closer than 0.1° are merged.

Atomic structure:
```
Cs3Ag2P4HO14
1.0
5.650 0.000 0.000
-2.683 5.241 0.000
-2.374 -1.639 12.731
Cs Ag P H O
3 2 4 1 14
direct
0.000 0.000 0.000
0.209 0.861 0.570
0.791 0.139 0.430
0.002 0.723 0.269
0.998 0.277 0.731
0.403 0.453 0.332
0.444 0.701 0.145
0.556 0.299 0.855
0.597 0.547 0.668
0.500 0.500 0.000
0.250 0.126 0.813
0.273 0.612 0.370
0.282 0.181 0.358
0.283 0.396 0.628
0.288 0.843 0.168
0.347 0.442 0.204
0.371 0.598 0.028
0.629 0.402 0.972
0.653 0.558 0.796
0.712 0.157 0.832
0.717 0.604 0.372
0.718 0.819 0.642
0.727 0.388 0.630
0.750 0.874 0.187
```

Largest 10 diffraction maxima, by angle, 10 to 90 degrees two-theta:
2θ (°)	Rel. int.
18.08	40
18.78	43
23.44	93
29.18	100
29.93	94
30.39	58
30.74	84
31.18	53
31.71	88
40.76	48

---

Record 5
This entry pairs a crystal structure of CsRbHfAg2Te4 with its calculated powder diffractogram. Radiation: copper Kα. Structure: DFT lattice parameters and positions (PBE).
Lines closer than 0.1° are merged.

Atomic structure:
```
CsRbHfAg2Te4
1.0
6.604 0.000 0.000
0.000 6.590 0.000
-3.194 0.000 7.582
Cs Rb Hf Ag Te
1 1 1 2 4
direct
0.000 0.000 0.000
0.500 0.486 0.000
0.500 0.739 0.500
0.000 0.742 0.500
0.500 0.241 0.500
0.157 0.502 0.286
0.367 0.978 0.715
0.633 0.978 0.285
0.843 0.502 0.714
```

Largest 10 diffraction maxima, by angle, 10 to 90 degrees two-theta:
2θ (°)	Rel. int.
11.67	60
14.71	26
25.86	100
26.13	97
29.56	42
36.12	37
38.60	95
44.86	22
45.22	44
47.29	36

---

Record 6
This entry pairs a crystal structure of CsHfAg3S4 with its calculated powder diffractogram. Radiation: copper Kα. Structure: DFT lattice parameters and positions (PBE).
Lines closer than 0.1° are merged.

Atomic structure:
```
CsHfAg3S4
1.0
6.226 0.000 0.000
0.000 7.892 0.000
-3.098 0.000 10.083
Cs Hf Ag S
2 2 6 8
direct
0.207 0.250 0.371
0.793 0.750 0.629
0.139 0.250 0.794
0.861 0.750 0.206
0.285 0.545 0.016
0.285 0.955 0.016
0.401 0.750 0.258
0.599 0.250 0.742
0.715 0.045 0.984
0.715 0.455 0.984
0.053 0.250 0.007
0.164 0.750 0.404
0.355 0.501 0.780
0.355 0.999 0.780
0.645 0.001 0.220
0.645 0.499 0.220
0.836 0.250 0.596
0.947 0.750 0.993
```

Largest 10 diffraction maxima, by angle, 10 to 90 degrees two-theta:
2θ (°)	Rel. int.
14.25	100
20.91	32
24.22	39
28.71	83
29.98	36
32.16	82
37.39	35
41.04	88
45.92	47
46.03	51

---

Record 7
This entry pairs a crystal structure of CsHfAgTe2Se with its calculated powder diffractogram. Radiation: copper Kα. Structure: DFT lattice parameters and positions (PBE).
Lines closer than 0.1° are merged.

Atomic structure:
```
CsHfAgTe2Se
1.0
9.345 0.000 0.000
0.000 4.159 0.000
-4.409 0.000 9.925
Cs Hf Ag Te Se
2 2 2 4 2
direct
0.238 0.250 0.229
0.762 0.750 0.771
0.177 0.750 0.650
0.823 0.250 0.350
0.426 0.250 0.894
0.574 0.750 0.106
0.238 0.750 0.930
0.386 0.250 0.625
0.614 0.750 0.375
0.762 0.250 0.070
0.023 0.750 0.376
0.977 0.250 0.624
```

Largest 10 diffraction maxima, by angle, 10 to 90 degrees two-theta:
2θ (°)	Rel. int.
10.57	100
24.60	21
26.94	21
28.74	80
29.99	45
32.78	57
36.22	41
40.17	37
43.52	32
48.09	22

---

Record 8
This entry pairs a crystal structure of CsHfAgTe2Se with its calculated powder diffractogram. Radiation: copper Kα. Structure: DFT lattice parameters and positions (PBE).
Lines closer than 0.1° are merged.

Atomic structure:
```
CsHfAgTe2Se
1.0
9.505 0.000 0.000
0.000 4.208 0.000
-4.291 0.000 9.837
Cs Hf Ag Te Se
2 2 2 4 2
direct
0.245 0.250 0.202
0.755 0.750 0.798
0.198 0.750 0.670
0.802 0.250 0.330
0.425 0.250 0.895
0.575 0.750 0.105
0.031 0.750 0.365
0.388 0.250 0.625
0.612 0.750 0.375
0.969 0.250 0.635
0.261 0.750 0.929
0.739 0.250 0.071
```

Largest 10 diffraction maxima, by angle, 10 to 90 degrees two-theta:
2θ (°)	Rel. int.
10.53	100
26.68	18
28.34	96
29.52	36
32.85	42
33.31	21
38.61	18
40.32	24
43.01	34
49.37	23

---

Record 9
This entry pairs a crystal structure of CsAg3IrS4 with its calculated powder diffractogram. Radiation: copper Kα. Structure: DFT lattice parameters and positions (PBE).
Lines closer than 0.1° are merged.

Atomic structure:
```
CsAg3IrS4
1.0
6.413 0.000 0.000
0.000 6.413 0.000
0.000 0.000 6.413
Cs Ag Ir S
1 3 1 4
direct
0.000 0.000 0.000
0.000 0.500 0.500
0.500 0.000 0.500
0.500 0.500 0.000
0.500 0.500 0.500
0.295 0.295 0.295
0.295 0.705 0.705
0.705 0.295 0.705
0.705 0.705 0.295
```

Largest 10 diffraction maxima, by angle, 10 to 90 degrees two-theta:
2θ (°)	Rel. int.
13.81	53
19.58	51
24.04	42
27.83	68
34.25	23
39.76	100
47.00	18
49.22	21
65.05	30
72.17	29

---

Record 10
This entry pairs a crystal structure of CsK2Ag3P2 with its calculated powder diffractogram. Radiation: copper Kα. Structure: DFT lattice parameters and positions (PBE).
Lines closer than 0.1° are merged.

Atomic structure:
```
CsK2Ag3P2
1.0
3.057 1.765 7.071
-3.057 1.765 7.071
0.000 -3.529 7.071
Cs K Ag P
1 2 3 2
direct
0.000 0.000 0.000
0.407 0.407 0.407
0.593 0.593 0.593
0.000 0.000 0.500
0.000 0.500 0.000
0.500 0.000 0.000
0.248 0.248 0.248
0.752 0.752 0.752
```

Largest 10 diffraction maxima, by angle, 10 to 90 degrees two-theta:
2θ (°)	Rel. int.
12.52	70
17.26	80
25.19	39
26.93	100
31.90	78
34.11	79
34.93	90
37.99	85
48.60	49
50.42	37